For Er4CdCu2Os, DFT lattice parameters and positions (GGA-PBE) gives the calculated XRD peak list in this record (CuKα).

Cell and atoms:
```
Er4CdCu2Os
1.0
2.474 1.428 8.068
-2.474 1.428 8.068
0.000 -2.857 8.068
Er Cd Cu Os
4 1 2 1
Direct
0.117 0.117 0.117
0.368 0.368 0.368
0.632 0.632 0.632
0.883 0.883 0.883
0.500 0.500 0.500
0.244 0.244 0.244
0.756 0.756 0.756
0.000 0.000 0.000
```

Peak list (12 most intense, 2θ from 10° to 90°, in order of falling intensity)
2θ (°)  d/Å  I_rel
36.33  2.473  100
65.36  1.428  32
52.32  1.748  17
88.39  1.106  13
77.14  1.236  10
22.01  4.038  5
25.47  3.497  5
10.97  8.068  4
50.10  1.821  4
42.89  2.109  3
69.57  1.351  3
33.31  2.690  3

***

For Ce2H7Rh2, DFT lattice parameters and positions (GGA-PBE) gives the calculated XRD peak list in this record (CuKα).

Cell and atoms:
```
Ce2H7Rh2
1.0
-1.879 3.835 4.170
1.879 -3.835 4.170
1.879 3.835 -4.170
Ce H Rh
2 7 2
Direct
0.232 0.232 0.000
0.768 0.768 0.000
0.000 0.500 0.500
0.002 0.702 0.300
0.240 0.000 0.240
0.402 0.702 0.700
0.598 0.298 0.300
0.760 0.000 0.760
0.998 0.298 0.700
0.225 0.500 0.725
0.775 0.500 0.275
```

Peak list (12 most intense, 2θ from 10° to 90°, in order of falling intensity)
2θ (°)  d/Å  I_rel
31.70  2.823  100
34.18  2.623  69
26.41  3.374  42
35.13  2.555  36
59.07  1.564  33
42.78  2.114  28
26.01  3.426  25
43.40  2.085  21
40.36  2.235  21
48.46  1.879  17
69.98  1.344  16
62.58  1.484  15

***

For In3TeCl7, DFT lattice parameters and positions (GGA-PBE) gives the calculated XRD peak list in this record (CuKα).

Cell and atoms:
```
In3TeCl7
1.0
6.730 -3.880 0.000
6.730 3.880 0.000
-6.562 0.000 6.763
In Te Cl
3 1 7
Direct
0.000 0.000 0.000
0.001 0.478 0.000
0.478 0.001 0.000
0.294 0.294 0.276
0.205 0.205 0.774
0.205 0.739 0.775
0.234 0.759 0.186
0.719 0.719 0.779
0.739 0.205 0.775
0.759 0.234 0.186
0.759 0.759 0.185
```

Peak list (12 most intense, 2θ from 10° to 90°, in order of falling intensity)
2θ (°)  d/Å  I_rel
13.10  6.757  100
29.83  2.995  60
14.79  5.990  33
29.36  3.042  28
46.80  1.941  28
37.99  2.369  27
14.64  6.050  15
26.50  3.363  14
48.33  1.883  14
37.49  2.399  14
37.23  2.415  14
49.21  1.852  10

***

For Pr4PtRh2, DFT lattice parameters and positions (GGA-PBE) gives the calculated XRD peak list in this record (CuKα).

Cell and atoms:
```
Pr4PtRh2
1.0
4.466 -6.381 0.000
4.466 6.381 0.000
-4.461 0.000 6.384
Pr Pt Rh
8 2 4
Direct
0.001 0.999 0.500
0.119 0.621 0.241
0.389 0.510 0.623
0.508 0.887 0.119
0.510 0.389 0.123
0.621 0.119 0.741
0.887 0.508 0.619
0.999 0.001 0.000
0.130 0.379 0.871
0.379 0.130 0.371
0.254 0.882 0.749
0.627 0.754 0.493
0.754 0.627 0.993
0.882 0.254 0.249
```

Peak list (12 most intense, 2θ from 10° to 90°, in order of falling intensity)
2θ (°)  d/Å  I_rel
31.36  2.853  100
31.64  2.828  55
37.32  2.410  39
37.40  2.405  27
51.65  1.770  17
63.58  1.463  16
37.54  2.396  16
77.80  1.228  15
51.84  1.764  14
28.11  3.175  14
51.99  1.759  13
47.45  1.916  10

***

For Sm3NpAg3S8, DFT lattice parameters and positions (GGA-PBE) gives the calculated XRD peak list in this record (CuKα).

Cell and atoms:
```
Sm3NpAg3S8
1.0
6.488 -4.113 0.000
6.488 4.113 0.000
-3.916 0.000 6.636
Sm Np Ag S
3 1 3 8
Direct
0.000 0.000 0.000
0.000 0.500 0.500
0.500 0.000 0.500
0.500 0.500 0.000
0.000 0.500 0.000
0.500 0.000 0.000
0.500 0.500 0.500
0.250 0.250 0.252
0.257 0.742 0.760
0.258 0.743 0.240
0.259 0.259 0.756
0.741 0.741 0.244
0.742 0.257 0.760
0.743 0.258 0.240
0.750 0.750 0.748
```

Peak list (12 most intense, 2θ from 10° to 90°, in order of falling intensity)
2θ (°)  d/Å  I_rel
31.91  2.804  100
26.90  3.314  78
44.05  2.056  60
32.04  2.794  49
47.58  1.911  32
13.36  6.629  29
14.64  6.049  24
29.53  3.025  21
55.48  1.656  20
25.50  3.494  18
73.32  1.291  17
53.87  1.702  16

***

For FeCu2Pt5, DFT lattice parameters and positions (GGA-PBE) gives the calculated XRD peak list in this record (CuKα).

Cell and atoms:
```
FeCu2Pt5
1.0
3.949 0.000 0.000
0.000 3.949 0.000
0.000 0.000 14.839
Fe Cu Pt
2 4 10
Direct
0.000 0.000 0.000
0.500 0.500 0.500
0.000 0.000 0.250
0.000 0.000 0.750
0.500 0.500 0.250
0.500 0.500 0.750
0.000 0.000 0.500
0.000 0.500 0.128
0.000 0.500 0.372
0.000 0.500 0.628
0.000 0.500 0.872
0.500 0.000 0.128
0.500 0.000 0.372
0.500 0.000 0.628
0.500 0.000 0.872
0.500 0.500 0.000
```

Peak list (12 most intense, 2θ from 10° to 90°, in order of falling intensity)
2θ (°)  d/Å  I_rel
40.43  2.231  100
45.96  1.974  35
81.29  1.183  26
69.54  1.352  20
49.12  1.855  14
67.03  1.396  11
85.98  1.131  11
87.44  1.115  11
23.99  3.710  10
32.05  2.792  10
23.31  3.816  5
52.50  1.743  5

***

Number 6 is which compound?
FeCu2Pt5

***

Please write out number 5 again, unchanged.
For Sm3NpAg3S8, DFT lattice parameters and positions (GGA-PBE) gives the calculated XRD peak list in this record (CuKα).

Cell and atoms:
```
Sm3NpAg3S8
1.0
6.488 -4.113 0.000
6.488 4.113 0.000
-3.916 0.000 6.636
Sm Np Ag S
3 1 3 8
Direct
0.000 0.000 0.000
0.000 0.500 0.500
0.500 0.000 0.500
0.500 0.500 0.000
0.000 0.500 0.000
0.500 0.000 0.000
0.500 0.500 0.500
0.250 0.250 0.252
0.257 0.742 0.760
0.258 0.743 0.240
0.259 0.259 0.756
0.741 0.741 0.244
0.742 0.257 0.760
0.743 0.258 0.240
0.750 0.750 0.748
```

Peak list (12 most intense, 2θ from 10° to 90°, in order of falling intensity)
2θ (°)  d/Å  I_rel
31.91  2.804  100
26.90  3.314  78
44.05  2.056  60
32.04  2.794  49
47.58  1.911  32
13.36  6.629  29
14.64  6.049  24
29.53  3.025  21
55.48  1.656  20
25.50  3.494  18
73.32  1.291  17
53.87  1.702  16

***

Please write out number 6 again, unchanged.
For FeCu2Pt5, DFT lattice parameters and positions (GGA-PBE) gives the calculated XRD peak list in this record (CuKα).

Cell and atoms:
```
FeCu2Pt5
1.0
3.949 0.000 0.000
0.000 3.949 0.000
0.000 0.000 14.839
Fe Cu Pt
2 4 10
Direct
0.000 0.000 0.000
0.500 0.500 0.500
0.000 0.000 0.250
0.000 0.000 0.750
0.500 0.500 0.250
0.500 0.500 0.750
0.000 0.000 0.500
0.000 0.500 0.128
0.000 0.500 0.372
0.000 0.500 0.628
0.000 0.500 0.872
0.500 0.000 0.128
0.500 0.000 0.372
0.500 0.000 0.628
0.500 0.000 0.872
0.500 0.500 0.000
```

Peak list (12 most intense, 2θ from 10° to 90°, in order of falling intensity)
2θ (°)  d/Å  I_rel
40.43  2.231  100
45.96  1.974  35
81.29  1.183  26
69.54  1.352  20
49.12  1.855  14
67.03  1.396  11
85.98  1.131  11
87.44  1.115  11
23.99  3.710  10
32.05  2.792  10
23.31  3.816  5
52.50  1.743  5